Theoretical powder diffractogram of VP4 for CuKα, from the PBE geometry in Alexandria.

Cell and atoms:
```
data_VP4
_chemical_formula_sum 'V2 P8'
_symmetry_space_group_name_H-M 'P 1'
_symmetry_Int_Tables_number 1
_cell_length_a 4.8335
_cell_length_b 4.8028
_cell_length_c 7.4000
_cell_angle_alpha 90.00
_cell_angle_beta 98.56
_cell_angle_gamma 90.00
loop_
_symmetry_equiv_pos_as_xyz
'x,y,z'
loop_
_atom_site_label
_atom_site_type_symbol
_atom_site_fract_x
_atom_site_fract_y
_atom_site_fract_z
_atom_site_occupancy
V1 V 0.0000 0.0000 0.0000 1
V2 V 0.0000 0.5000 0.5000 1
P1 P 0.2212 0.1996 0.7494 1
P2 P 0.2212 0.3004 0.2494 1
P3 P 0.3850 0.6345 0.0914 1
P4 P 0.3850 0.8655 0.5914 1
P5 P 0.6150 0.1345 0.4086 1
P6 P 0.6150 0.3655 0.9086 1
P7 P 0.7788 0.6996 0.7506 1
P8 P 0.7788 0.8004 0.2506 1
```

Largest 12 diffraction maxima, by intensity, 10 to 90 degrees two-theta:
30.22°, I = 100.0, (1 1 1)
34.12°, I = 60.3, (1 1 -2)
48.50°, I = 27.4, (2 0 2)
45.16°, I = 23.3, (0 2 2)
50.72°, I = 20.2, (1 0 -4)
27.83°, I = 18.6, (1 1 -1)
28.43°, I = 16.4, (1 0 -2)
53.56°, I = 15.3, (0 2 3)
53.04°, I = 14.2, (2 1 -3)
30.72°, I = 13.8, (0 1 2)
42.24°, I = 13.4, (2 1 0)
54.14°, I = 12.7, (2 2 0)